(1)
The following is a computed powder XRD pattern of Sm6Zn5Hg. It was derived from a crystal structure in Alexandria, relaxed with PBE, using Cu Kα X-rays.

Peak list (10 most intense, 2θ = 10–90°, low angle first)
2theta  intensity  index
24.3  8  1 0 1
34.6  100  1 2 1
34.7  20  2 0 -1
49.7  14  2 0 2
49.8  7  2 0 -4
61.9  29  1 2 4
62.1  15  3 2 0
72.9  7  2 4 2
83.2  11  3 2 3
83.4  6  4 0 1

Structural model:
```
data_Sm6Zn5Hg
_cell_length_a 5.177
_cell_length_b 7.343
_cell_length_c 8.201
_cell_angle_alpha 90.00
_cell_angle_beta 108.27
_cell_angle_gamma 90.00
_space_group_name_H-M_alt 'P 1 2/m 1'
_space_group_IT_number 10
_space_group_name_Hall '-P 2y'
loop_
_atom_site_label
_atom_site_fract_x
_atom_site_fract_y
_atom_site_fract_z
Sm1 0.000 0.242 0.000
Sm2 0.330 0.244 0.661
Zn1 0.167 0.000 0.334
Zn2 0.169 0.500 0.339
Zn3 0.500 0.000 0.000
Hg1 0.500 0.500 0.000
```

=====

(2)
The following is a computed powder XRD pattern of Sm3ZnHg2. It was derived from a crystal structure in Alexandria, relaxed with PBE, using Cu Kα X-rays.

Peak list (10 most intense, 2θ = 10–90°, low angle first)
2theta  intensity  index
28.7  8  1 0 2
33.8  100  1 0 3
34.1  50  1 1 0
47.9  8  0 0 6
49.1  18  2 0 0
60.1  17  1 1 6
60.9  37  2 1 3
71.0  11  2 0 6
81.8  8  3 0 3
82.0  8  3 1 0

Structural model:
```
data_Sm3ZnHg2
_cell_length_a 3.714
_cell_length_b 3.714
_cell_length_c 11.388
_cell_angle_alpha 90.00
_cell_angle_beta 90.00
_cell_angle_gamma 90.00
_space_group_name_H-M_alt 'P 4/m m m'
_space_group_IT_number 123
_space_group_name_Hall '-P 4 2'
loop_
_atom_site_label
_atom_site_fract_x
_atom_site_fract_y
_atom_site_fract_z
Sm1 0.000 0.000 0.000
Sm2 0.000 0.000 0.347
Zn1 0.500 0.500 0.500
Hg1 0.500 0.500 0.175
```

=====

(3)
The following is a computed powder XRD pattern of Sm5ZnHg4. It was derived from a crystal structure in Alexandria, relaxed with PBE, using Cu Kα X-rays.

Peak list (10 most intense, 2θ = 10–90°, low angle first)
2theta  intensity  index
33.6  100  1 0 5
33.8  51  1 1 0
48.0  9  0 0 10
48.6  19  2 0 0
60.0  18  1 1 10
60.4  38  2 1 5
70.7  11  2 0 10
71.1  6  2 2 0
80.2  7  1 0 15
81.0  17  3 1 0

Structural model:
```
data_Sm5ZnHg4
_cell_length_a 3.750
_cell_length_b 3.750
_cell_length_c 18.939
_cell_angle_alpha 90.00
_cell_angle_beta 90.00
_cell_angle_gamma 90.00
_space_group_name_H-M_alt 'P 4/m m m'
_space_group_IT_number 123
_space_group_name_Hall '-P 4 2'
loop_
_atom_site_label
_atom_site_fract_x
_atom_site_fract_y
_atom_site_fract_z
Sm1 0.000 0.000 0.000
Sm2 0.000 0.000 0.204
Sm3 0.000 0.000 0.409
Zn1 0.500 0.500 0.500
Hg1 0.500 0.500 0.102
Hg2 0.500 0.500 0.307
```